This entry pairs a crystal structure of SmH8C6O10 with its calculated powder XRD pattern. Radiation: Cu Ka. Structure: a cell relaxed with PBE.
Lines closer than 0.1° are merged.

Largest 10 diffraction maxima, low angle first, 15° ≤ 2θ ≤ 90°:
20.14 deg, intensity 62, hkl 1 0 -2
21.68 deg, intensity 83, hkl 1 -2 0
22.27 deg, intensity 70, hkl -2 1 1
22.70 deg, intensity 67, hkl 0 1 -2
23.07 deg, intensity 62, hkl 0 0 2
23.86 deg, intensity 100, hkl 0 2 0
25.45 deg, intensity 81, hkl 2 0 -2
28.99 deg, intensity 57, hkl 1 1 1
34.49 deg, intensity 56, hkl 2 -3 0
48.81 deg, intensity 50, hkl -2 2 4

Atomic structure:
```
data_SmH8C6O10
_chemical_formula_sum 'Sm2 H16 C12 O20'
_cell_length_a 8.089
_cell_length_b 8.324
_cell_length_c 8.907
_cell_angle_alpha 95.49
_cell_angle_beta 115.34
_cell_angle_gamma 110.53
_space_group_name_H-M_alt 'P -1'
_space_group_IT_number 2
_space_group_name_Hall '-P 1'
loop_
_atom_site_label
_atom_site_fract_x
_atom_site_fract_y
_atom_site_fract_z
Sm1 0.088 0.024 0.274
H1 0.046 0.672 0.700
H2 0.099 0.797 0.582
H3 0.151 0.716 0.398
H4 0.201 0.307 0.114
H5 0.237 0.446 0.517
H6 0.355 0.886 0.552
H7 0.373 0.592 0.471
H8 0.409 0.367 0.296
C1 0.128 0.443 0.878
C2 0.316 0.579 0.020
C3 0.334 0.000 0.118
C4 0.353 0.215 0.682
C5 0.457 0.002 0.041
C6 0.471 0.676 0.153
O1 0.012 0.760 0.638
O2 0.026 0.481 0.746
O3 0.077 0.288 0.901
O4 0.153 0.976 0.016
O5 0.184 0.130 0.675
O6 0.209 0.844 0.466
O7 0.256 0.309 0.238
O8 0.348 0.569 0.567
O9 0.381 0.215 0.552
O10 0.401 0.023 0.279
```

This entry pairs a crystal structure of TbH8C6O10 with its calculated powder XRD pattern. Radiation: Cu Ka. Structure: a cell relaxed with PBE.
Lines closer than 0.1° are merged.

Largest 10 diffraction maxima, low angle first, 15° ≤ 2θ ≤ 90°:
20.28 deg, intensity 62, hkl 1 0 -2
21.80 deg, intensity 82, hkl 1 -2 0
22.31 deg, intensity 67, hkl -2 1 1
22.88 deg, intensity 66, hkl 0 1 -2
23.29 deg, intensity 48, hkl 0 0 2
24.04 deg, intensity 100, hkl 0 2 0
25.55 deg, intensity 73, hkl 2 0 -2
29.21 deg, intensity 54, hkl 1 1 1
29.78 deg, intensity 41, hkl 1 -1 2
31.53 deg, intensity 45, hkl -2 2 2

Atomic structure:
```
data_TbH8C6O10
_chemical_formula_sum 'Tb2 H16 C12 O20'
_cell_length_a 8.075
_cell_length_b 8.273
_cell_length_c 8.840
_cell_angle_alpha 95.40
_cell_angle_beta 115.43
_cell_angle_gamma 110.70
_space_group_name_H-M_alt 'P -1'
_space_group_IT_number 2
_space_group_name_Hall '-P 1'
loop_
_atom_site_label
_atom_site_fract_x
_atom_site_fract_y
_atom_site_fract_z
Tb1 0.089 0.024 0.273
H1 0.045 0.676 0.702
H2 0.100 0.803 0.585
H3 0.154 0.718 0.402
H4 0.200 0.304 0.114
H5 0.234 0.447 0.521
H6 0.358 0.892 0.553
H7 0.366 0.582 0.465
H8 0.410 0.363 0.296
C1 0.125 0.441 0.878
C2 0.315 0.577 0.020
C3 0.331 0.999 0.115
C4 0.346 0.214 0.683
C5 0.456 0.001 0.041
C6 0.474 0.675 0.153
O1 0.012 0.764 0.640
O2 0.024 0.481 0.745
O3 0.071 0.284 0.900
O4 0.151 0.978 0.012
O5 0.179 0.131 0.680
O6 0.211 0.848 0.467
O7 0.257 0.306 0.239
O8 0.346 0.570 0.565
O9 0.371 0.212 0.550
O10 0.395 0.019 0.277
```

This entry pairs a crystal structure of TbHCO4 with its calculated powder XRD pattern. Radiation: Cu Ka. Structure: a cell relaxed with PBE.
Lines closer than 0.1° are merged.

Largest 10 diffraction maxima, low angle first, 15° ≤ 2θ ≤ 90°:
16.63 deg, intensity 33, hkl 0 1 1
21.33 deg, intensity 100, hkl 1 0 1
24.93 deg, intensity 63, hkl 0 1 2
27.82 deg, intensity 39, hkl 0 2 1
31.74 deg, intensity 47, hkl 1 2 0
34.88 deg, intensity 22, hkl 0 1 3
37.31 deg, intensity 20, hkl 2 0 0
39.72 deg, intensity 34, hkl 1 1 3
45.43 deg, intensity 29, hkl 2 1 2
47.18 deg, intensity 33, hkl 2 2 1

Atomic structure:
```
data_TbHCO4
_chemical_formula_sum 'Tb4 H4 C4 O16'
_cell_length_a 4.820
_cell_length_b 6.952
_cell_length_c 8.307
_cell_angle_alpha 90.00
_cell_angle_beta 90.00
_cell_angle_gamma 90.00
_space_group_name_H-M_alt 'P 21 21 21'
_space_group_IT_number 19
_space_group_name_Hall 'P 2ac 2ab'
loop_
_atom_site_label
_atom_site_fract_x
_atom_site_fract_y
_atom_site_fract_z
Tb1 0.007 0.113 0.166
H1 0.144 0.252 0.472
C1 0.003 0.050 0.825
O1 0.000 0.292 0.394
O2 0.011 0.448 0.803
O3 0.219 0.601 0.600
O4 0.244 0.091 0.885
```

This entry pairs a crystal structure of ZnH6C2O6 with its calculated powder XRD pattern. Radiation: Cu Ka. Structure: a cell relaxed with PBE.
Lines closer than 0.1° are merged.

Largest 10 diffraction maxima, low angle first, 15° ≤ 2θ ≤ 90°:
18.44 deg, intensity 100, hkl 1 1 -1
19.67 deg, intensity 47, hkl 0 0 2
19.96 deg, intensity 74, hkl 1 1 1
20.95 deg, intensity 38, hkl 2 0 0
26.90 deg, intensity 19, hkl 1 1 2
32.52 deg, intensity 18, hkl 0 2 2
34.39 deg, intensity 32, hkl 3 1 -1
35.46 deg, intensity 32, hkl 1 1 3
42.01 deg, intensity 18, hkl 1 3 1
50.43 deg, intensity 15, hkl 2 2 -4

Atomic structure:
```
data_ZnH6C2O6
_chemical_formula_sum 'Zn4 H24 C8 O24'
_cell_length_a 8.567
_cell_length_b 6.951
_cell_length_c 9.114
_cell_angle_alpha 90.00
_cell_angle_beta 98.05
_cell_angle_gamma 90.00
_space_group_name_H-M_alt 'P 1 21/c 1'
_space_group_IT_number 14
_space_group_name_Hall '-P 2ybc'
loop_
_atom_site_label
_atom_site_fract_x
_atom_site_fract_y
_atom_site_fract_z
Zn1 0.000 0.000 0.000
Zn2 0.500 0.000 0.500
H1 0.034 0.153 0.276
H2 0.173 0.044 0.620
H3 0.204 0.094 0.233
H4 0.261 0.620 0.446
H5 0.290 0.104 0.978
H6 0.426 0.721 0.730
C1 0.172 0.602 0.073
C2 0.466 0.208 0.216
O1 0.059 0.712 0.091
O2 0.095 0.131 0.191
O3 0.220 0.012 0.916
O4 0.286 0.652 0.004
O5 0.400 0.083 0.288
O6 0.412 0.245 0.584
```

This entry pairs a crystal structure of ZrH2C2O6 with its calculated powder XRD pattern. Radiation: Cu Ka. Structure: a cell relaxed with PBE.
Lines closer than 0.1° are merged.

Largest 10 diffraction maxima, low angle first, 15° ≤ 2θ ≤ 90°:
15.58 deg, intensity 70, hkl 2 0 0
17.35 deg, intensity 100, hkl 1 1 0
20.49 deg, intensity 54, hkl 1 1 -1
26.88 deg, intensity 60, hkl 2 0 -2
28.24 deg, intensity 34, hkl 3 1 0
31.47 deg, intensity 23, hkl 4 0 0
31.71 deg, intensity 33, hkl 1 1 -2
41.28 deg, intensity 26, hkl 2 2 1
42.78 deg, intensity 27, hkl 5 1 0
49.71 deg, intensity 26, hkl 1 3 -1

Atomic structure:
```
data_ZrH2C2O6
_chemical_formula_sum 'Zr4 H8 C8 O24'
_cell_length_a 12.803
_cell_length_b 5.724
_cell_length_c 6.649
_cell_angle_alpha 90.00
_cell_angle_beta 117.35
_cell_angle_gamma 90.00
_space_group_name_H-M_alt 'C 1 2/c 1'
_space_group_IT_number 15
_space_group_name_Hall '-C 2yc'
loop_
_atom_site_label
_atom_site_fract_x
_atom_site_fract_y
_atom_site_fract_z
Zr1 0.000 0.090 0.250
H1 0.064 0.342 0.953
C1 0.230 0.373 0.508
O1 0.028 0.196 0.972
O2 0.120 0.409 0.402
O3 0.193 0.020 0.877
```

What did the third record say?
This entry pairs a crystal structure of TbHCO4 with its calculated powder XRD pattern. Radiation: Cu Ka. Structure: a cell relaxed with PBE.
Lines closer than 0.1° are merged.

Largest 10 diffraction maxima, low angle first, 15° ≤ 2θ ≤ 90°:
16.63 deg, intensity 33, hkl 0 1 1
21.33 deg, intensity 100, hkl 1 0 1
24.93 deg, intensity 63, hkl 0 1 2
27.82 deg, intensity 39, hkl 0 2 1
31.74 deg, intensity 47, hkl 1 2 0
34.88 deg, intensity 22, hkl 0 1 3
37.31 deg, intensity 20, hkl 2 0 0
39.72 deg, intensity 34, hkl 1 1 3
45.43 deg, intensity 29, hkl 2 1 2
47.18 deg, intensity 33, hkl 2 2 1

Atomic structure:
```
data_TbHCO4
_chemical_formula_sum 'Tb4 H4 C4 O16'
_cell_length_a 4.820
_cell_length_b 6.952
_cell_length_c 8.307
_cell_angle_alpha 90.00
_cell_angle_beta 90.00
_cell_angle_gamma 90.00
_space_group_name_H-M_alt 'P 21 21 21'
_space_group_IT_number 19
_space_group_name_Hall 'P 2ac 2ab'
loop_
_atom_site_label
_atom_site_fract_x
_atom_site_fract_y
_atom_site_fract_z
Tb1 0.007 0.113 0.166
H1 0.144 0.252 0.472
C1 0.003 0.050 0.825
O1 0.000 0.292 0.394
O2 0.011 0.448 0.803
O3 0.219 0.601 0.600
O4 0.244 0.091 0.885
```